# 1
This entry pairs a crystal structure of Lu2Si3W4C3 with its calculated X-ray diffraction stick pattern. Radiation: Cu Kα X-rays. Structure: a DFT-relaxed cell (GGA-PBE, OQMD).

Most intense lines, 2θ = 5–70°, by angle:
Position (°2θ)	d/Å	Rel. int.
13.46	6.579	457
27.11	3.289	263
33.05	2.711	244
33.68	2.661	443
33.82	2.650	201
38.94	2.313	1000
39.22	2.297	465
41.17	2.193	239
58.88	1.568	212
65.86	1.418	117

Atomic structure:
abc: 5.4215 5.4215 13.5549
angles: 102.00 102.00 60.22
Positions (direct):
1 Lu 0.0415 0.8774 0.6193
2 Lu 0.1226 0.9585 0.8807
3 Lu 0.8774 0.0415 0.1193
4 Lu 0.9585 0.1226 0.3807
5 Si 0.0871 0.3970 0.7502
6 Si 0.3970 0.0871 0.2502
7 Si 0.4296 0.5704 0.2500
8 Si 0.5704 0.4296 0.7500
9 Si 0.6030 0.9129 0.7498
10 Si 0.9129 0.6030 0.2498
11 W 0.1946 0.3523 0.0827
12 W 0.2971 0.4822 0.4170
13 W 0.3523 0.1946 0.5827
14 W 0.4822 0.2971 0.9170
15 W 0.5178 0.7029 0.0830
16 W 0.6477 0.8054 0.4173
17 W 0.7029 0.5178 0.5830
18 W 0.8054 0.6477 0.9173
19 C 0.0000 0.5000 0.5000
20 C 0.1664 0.6661 0.0000
21 C 0.3339 0.8336 0.5000
22 C 0.5000 0.0000 0.0000
23 C 0.6661 0.1664 0.5000
24 C 0.8336 0.3339 0.0000

# 2
This entry pairs a crystal structure of Lu2Zr4Si3C3 with its calculated X-ray diffraction stick pattern. Radiation: Cu Kα X-rays. Structure: a DFT-relaxed cell (GGA-PBE, OQMD).

Most intense lines, 2θ = 5–70°, by angle:
Position (°2θ)	d/Å	Rel. int.
12.82	6.906	181
25.80	3.453	167
30.65	2.917	238
31.34	2.854	308
36.46	2.464	1000
39.13	2.302	139
54.49	1.684	220
56.28	1.635	178
67.35	1.390	139
69.11	1.359	154

Atomic structure:
abc: 5.8344 5.8344 14.2205
angles: 101.89 101.89 59.98
Positions (direct):
1 Lu 0.0355 0.8707 0.6052
2 Lu 0.1293 0.9645 0.8948
3 Lu 0.8707 0.0355 0.1052
4 Lu 0.9645 0.1293 0.3948
5 Zr 0.1958 0.3600 0.0898
6 Zr 0.2996 0.4740 0.4102
7 Zr 0.3600 0.1958 0.5898
8 Zr 0.4740 0.2996 0.9102
9 Zr 0.5260 0.7004 0.0898
10 Zr 0.6400 0.8042 0.4102
11 Zr 0.7004 0.5260 0.5898
12 Zr 0.8042 0.6400 0.9102
13 Si 0.0844 0.3243 0.7507
14 Si 0.3243 0.0844 0.2507
15 Si 0.4959 0.5041 0.7500
16 Si 0.5041 0.4959 0.2500
17 Si 0.6757 0.9156 0.7493
18 Si 0.9156 0.6757 0.2493
19 C 0.0000 0.5000 0.5000
20 C 0.1693 0.6613 0.0000
21 C 0.3387 0.8307 0.5000
22 C 0.5000 0.0000 0.0000
23 C 0.6613 0.1693 0.5000
24 C 0.8307 0.3387 0.0000

# 3
This entry pairs a crystal structure of Lu4SnC3 with its calculated X-ray diffraction stick pattern. Radiation: Cu Kα X-rays. Structure: a DFT-relaxed cell (GGA-PBE, OQMD).

Most intense lines, 2θ = 5–70°, by angle:
Position (°2θ)	d/Å	Rel. int.
29.78	3.000	303
30.32	2.948	254
32.43	2.761	830
32.77	2.733	649
33.93	2.642	985
35.68	2.516	1000
52.51	1.743	612
59.24	1.560	179
62.48	1.486	217
63.29	1.469	613

Atomic structure:
abc: 3.4856 3.4856 27.3271
angles: 90.00 90.00 120.00
Positions (direct):
1 Lu 0.0000 0.0000 0.1514
2 Lu 0.0000 0.0000 0.3486
3 Lu 0.0000 0.0000 0.6514
4 Lu 0.0000 0.0000 0.8486
5 Lu 0.3333 0.6667 0.0530
6 Lu 0.3333 0.6667 0.4470
7 Lu 0.6667 0.3333 0.5530
8 Lu 0.6667 0.3333 0.9470
9 Sn 0.3333 0.6667 0.2500
10 Sn 0.6667 0.3333 0.7500
11 C 0.0000 0.0000 0.0000
12 C 0.0000 0.0000 0.5000
13 C 0.3333 0.6667 0.6077
14 C 0.3333 0.6667 0.8923
15 C 0.6667 0.3333 0.1077
16 C 0.6667 0.3333 0.3923

# 4
This entry pairs a crystal structure of TmLu3Sn2C2 with its calculated X-ray diffraction stick pattern. Radiation: Cu Kα X-rays. Structure: a DFT-relaxed cell (GGA-PBE, OQMD).

Most intense lines, 2θ = 5–70°, by angle:
Position (°2θ)	d/Å	Rel. int.
11.44	7.736	53
29.13	3.066	225
34.02	2.635	1000
34.79	2.579	200
45.99	1.973	157
51.64	1.770	215
60.39	1.533	30
61.88	1.500	182
63.29	1.469	170
63.78	1.459	214

Atomic structure:
abc: 3.5400 3.5400 15.4729
angles: 90.00 90.00 120.00
Positions (direct):
1 Tm 0.0000 0.0000 0.0000
2 Lu 0.0000 0.0000 0.3326
3 Lu 0.3333 0.6667 0.4994
4 Lu 0.3333 0.6667 0.8321
5 Sn 0.0000 0.0000 0.6659
6 Sn 0.3333 0.6667 0.1667
7 C 0.6667 0.3333 0.4161
8 C 0.6667 0.3333 0.9152

# 5
This entry pairs a crystal structure of Lu2Sn3W4C3 with its calculated X-ray diffraction stick pattern. Radiation: Cu Kα X-rays. Structure: a DFT-relaxed cell (GGA-PBE, OQMD).

Most intense lines, 2θ = 5–70°, by angle:
Position (°2θ)	d/Å	Rel. int.
12.87	6.878	108
31.09	2.876	125
31.26	2.861	244
36.93	2.434	1000
37.10	2.423	512
39.30	2.292	274
50.94	1.793	123
55.43	1.658	202
69.65	1.350	102
69.93	1.345	128

Atomic structure:
abc: 5.7222 5.7222 14.1324
angles: 101.43 101.43 60.35
Positions (direct):
1 Lu 0.0341 0.8738 0.6020
2 Lu 0.1262 0.9659 0.8980
3 Lu 0.8738 0.0341 0.1020
4 Lu 0.9659 0.1262 0.3980
5 Sn 0.0846 0.3076 0.7503
6 Sn 0.3076 0.0846 0.2503
7 Sn 0.4746 0.5254 0.7500
8 Sn 0.5254 0.4746 0.2500
9 Sn 0.6924 0.9154 0.7497
10 Sn 0.9154 0.6924 0.2497
11 W 0.1915 0.3472 0.0727
12 W 0.3018 0.4856 0.4270
13 W 0.3472 0.1915 0.5727
14 W 0.4856 0.3018 0.9270
15 W 0.5144 0.6982 0.0730
16 W 0.6528 0.8085 0.4273
17 W 0.6982 0.5144 0.5730
18 W 0.8085 0.6528 0.9273
19 C 0.0000 0.5000 0.5000
20 C 0.1701 0.6584 0.0000
21 C 0.3416 0.8299 0.5000
22 C 0.5000 0.0000 0.0000
23 C 0.6584 0.1701 0.5000
24 C 0.8299 0.3416 0.0000

# 6
This entry pairs a crystal structure of LuZrSnC with its calculated X-ray diffraction stick pattern. Radiation: Cu Kα X-rays. Structure: a DFT-relaxed cell (GGA-PBE, OQMD).

Most intense lines, 2θ = 5–70°, by angle:
Position (°2θ)	d/Å	Rel. int.
11.74	7.536	78
29.98	2.981	223
30.57	2.924	51
35.00	2.564	1000
35.74	2.512	198
47.32	1.921	156
53.23	1.721	212
63.74	1.460	176
65.31	1.429	165
65.78	1.420	206

Atomic structure:
abc: 3.4418 3.4418 15.0728
angles: 90.00 90.00 120.00
Positions (direct):
1 Lu 0.3333 0.6667 0.0000
2 Lu 0.6667 0.3333 0.5000
3 Zr 0.3333 0.6667 0.6692
4 Zr 0.6667 0.3333 0.1692
5 Sn 0.3333 0.6667 0.3298
6 Sn 0.6667 0.3333 0.8298
7 C 0.0000 0.0000 0.0893
8 C 0.0000 0.0000 0.5893

# 7
This entry pairs a crystal structure of LuZr3Sn2C2 with its calculated X-ray diffraction stick pattern. Radiation: Cu Kα X-rays. Structure: a DFT-relaxed cell (GGA-PBE, OQMD).

Most intense lines, 2θ = 5–70°, by angle:
Position (°2θ)	d/Å	Rel. int.
5.93	14.901	116
30.25	2.955	230
32.60	2.747	30
35.35	2.539	1000
36.17	2.483	194
47.84	1.901	161
53.73	1.706	210
64.52	1.444	169
65.97	1.416	163
66.49	1.406	200

Atomic structure:
abc: 3.4120 3.4120 14.9008
angles: 90.00 90.00 120.00
Positions (direct):
1 Lu 0.0000 0.0000 0.0000
2 Zr 0.0000 0.0000 0.6643
3 Zr 0.6667 0.3333 0.1716
4 Zr 0.6667 0.3333 0.4983
5 Sn 0.0000 0.0000 0.3346
6 Sn 0.6667 0.3333 0.8280
7 C 0.3333 0.6667 0.0900
8 C 0.3333 0.6667 0.5814

# 8
This entry pairs a crystal structure of LuZrSnC with its calculated X-ray diffraction stick pattern. Radiation: Cu Kα X-rays. Structure: a DFT-relaxed cell (GGA-PBE, OQMD).

Most intense lines, 2θ = 5–70°, by angle:
Position (°2θ)	d/Å	Rel. int.
5.86	15.081	79
17.64	5.027	44
30.00	2.979	250
35.01	2.563	1000
35.72	2.514	194
47.32	1.921	171
53.26	1.720	209
63.72	1.461	175
65.34	1.428	165
65.79	1.419	202

Atomic structure:
abc: 3.4398 3.4398 15.0814
angles: 90.00 90.00 120.00
Positions (direct):
1 Lu 0.0000 0.0000 0.1698
2 Lu 0.0000 0.0000 0.8302
3 Zr 0.6667 0.3333 0.3388
4 Zr 0.6667 0.3333 0.6612
5 Sn 0.0000 0.0000 0.5000
6 Sn 0.6667 0.3333 0.0000
7 C 0.3333 0.6667 0.2594
8 C 0.3333 0.6667 0.7406

# 9
This entry pairs a crystal structure of Lu2Ta4Tl3C3 with its calculated X-ray diffraction stick pattern. Radiation: Cu Kα X-rays. Structure: a DFT-relaxed cell (GGA-PBE, OQMD).

Most intense lines, 2θ = 5–70°, by angle:
Position (°2θ)	d/Å	Rel. int.
31.04	2.881	344
36.23	2.479	1000
36.31	2.474	471
37.03	2.428	306
48.98	1.860	90
49.12	1.855	132
55.22	1.663	285
67.91	1.380	136
68.26	1.374	141
68.46	1.370	116

Atomic structure:
abc: 5.7632 5.7632 14.9544
angles: 101.31 101.31 59.97
Positions (direct):
1 Lu 0.0339 0.8765 0.5955
2 Lu 0.1235 0.9661 0.9045
3 Lu 0.8765 0.0339 0.0955
4 Lu 0.9661 0.1235 0.4045
5 Ta 0.1926 0.3467 0.0740
6 Ta 0.2965 0.4859 0.4260
7 Ta 0.3467 0.1926 0.5740
8 Ta 0.4859 0.2965 0.9260
9 Ta 0.5141 0.7035 0.0740
10 Ta 0.6533 0.8074 0.4260
11 Ta 0.7035 0.5141 0.5740
12 Ta 0.8074 0.6533 0.9260
13 Tl 0.0839 0.2895 0.7534
14 Tl 0.2895 0.0839 0.2534
15 Tl 0.4535 0.5465 0.7500
16 Tl 0.5465 0.4535 0.2500
17 Tl 0.7105 0.9161 0.7466
18 Tl 0.9161 0.7105 0.2466
19 C 0.0000 0.5000 0.5000
20 C 0.1730 0.6532 0.0000
21 C 0.3468 0.8270 0.5000
22 C 0.5000 0.0000 0.0000
23 C 0.6532 0.1730 0.5000
24 C 0.8270 0.3468 0.0000

# 10
This entry pairs a crystal structure of TbLuTeC with its calculated X-ray diffraction stick pattern. Radiation: Cu Kα X-rays. Structure: a DFT-relaxed cell (GGA-PBE, OQMD).

Most intense lines, 2θ = 5–70°, by angle:
Position (°2θ)	d/Å	Rel. int.
27.11	3.290	264
33.41	2.682	1000
38.90	2.315	130
47.89	1.899	260
48.05	1.893	122
53.96	1.699	27
55.90	1.645	37
59.65	1.550	190
63.34	1.468	189
66.97	1.397	110

Atomic structure:
abc: 3.7986 3.7986 13.8917
angles: 90.00 90.00 120.00
Positions (direct):
1 Tb 0.3333 0.6667 0.0000
2 Tb 0.6667 0.3333 0.5000
3 Lu 0.3333 0.6667 0.6855
4 Lu 0.6667 0.3333 0.1855
5 Te 0.3333 0.6667 0.3389
6 Te 0.6667 0.3333 0.8389
7 C 0.0000 0.0000 0.0952
8 C 0.0000 0.0000 0.5952

# 11
This entry pairs a crystal structure of TmLuTeC with its calculated X-ray diffraction stick pattern. Radiation: Cu Kα X-rays. Structure: a DFT-relaxed cell (GGA-PBE, OQMD).

Most intense lines, 2θ = 5–70°, by angle:
Position (°2θ)	d/Å	Rel. int.
27.41	3.254	264
28.18	3.166	29
33.78	2.653	1000
39.32	2.292	132
48.46	1.879	258
48.60	1.874	123
56.57	1.627	36
60.38	1.533	189
64.10	1.453	191
67.76	1.383	114

Atomic structure:
abc: 3.7571 3.7571 13.7490
angles: 90.00 90.00 120.00
Positions (direct):
1 Tm 0.0000 0.0000 0.1580
2 Tm 0.0000 0.0000 0.8420
3 Lu 0.6667 0.3333 0.3420
4 Lu 0.6667 0.3333 0.6580
5 Te 0.0000 0.0000 0.5000
6 Te 0.6667 0.3333 0.0000
7 C 0.3333 0.6667 0.2503
8 C 0.3333 0.6667 0.7497

# 12
This entry pairs a crystal structure of Tm3LuTe2C2 with its calculated X-ray diffraction stick pattern. Radiation: Cu Kα X-rays. Structure: a DFT-relaxed cell (GGA-PBE, OQMD).

Most intense lines, 2θ = 5–70°, by angle:
Position (°2θ)	d/Å	Rel. int.
27.34	3.262	264
28.11	3.174	28
33.70	2.660	1000
39.22	2.297	132
48.33	1.883	258
48.47	1.878	123
56.42	1.631	36
60.21	1.537	189
63.92	1.456	191
67.58	1.386	113

Atomic structure:
abc: 3.7666 3.7666 13.7808
angles: 90.00 90.00 120.00
Positions (direct):
1 Tm 0.0000 0.0000 0.0000
2 Tm 0.0000 0.0000 0.3158
3 Tm 0.6667 0.3333 0.8148
4 Lu 0.6667 0.3333 0.4993
5 Te 0.0000 0.0000 0.6562
6 Te 0.6667 0.3333 0.1576
7 C 0.3333 0.6667 0.4085
8 C 0.3333 0.6667 0.9074